# 1
The following is a theoretical X-ray diffraction stick pattern of Nd2Dy2CBr4Cl. It was derived from the GGA-PBE geometry in OQMD, using Cu Kα, 1.54184 Å.
Neutral-atom scattering factors, no anomalous dispersion.

Crystal structure
```
data_Nd2Dy2CBr4Cl
_chemical_formula_sum 'Nd4 Dy4 C2 Br8 Cl2'
_space_group_name_H-M_alt 'C 1 2/m 1'
_space_group_IT_number 12
_cell_length_a 18.152
_cell_length_b 3.875
_cell_length_c 8.173
_cell_angle_alpha 90.00
_cell_angle_beta 102.69
_cell_angle_gamma 90.00
loop_
_space_group_symop_operation_xyz
'x,y,z'
'-x,-y,-z'
'-x,y,-z'
'x,-y,z'
'x+1/2,y+1/2,z'
'-x+1/2,-y+1/2,-z'
'-x+1/2,y+1/2,-z'
'x+1/2,-y+1/2,z'
loop_
_atom_site_label
_atom_site_type_symbol
_atom_site_fract_x
_atom_site_fract_y
_atom_site_fract_z
_atom_site_occupancy
Nd1 Nd 0.002 0.000 0.287 1
Dy1 Dy 0.136 0.500 0.572 1
C1 C 0.000 0.500 0.500 1
Br1 Br 0.167 0.000 0.835 1
Br2 Br 0.173 0.000 0.340 1
Cl1 Cl 0.000 0.500 0.000 1
```

Peak list (12 most intense, 2θ = 15–90°, low angle first)
2θ = 20.7°, intensity 11.4, (4 0 -1); 2θ = 30.3°, intensity 38.7, (6 0 0); 2θ = 31.0°, intensity 18.4, (3 1 1); 2θ = 31.8°, intensity 100.0, (1 1 -2); 2θ = 33.4°, intensity 15.1, (4 0 2); 2θ = 33.6°, intensity 14.6, (6 0 -2); 2θ = 34.3°, intensity 38.7, (5 1 0); 2θ = 44.4°, intensity 41.3, (2 0 -4); 2θ = 44.6°, intensity 24.7, (7 1 -2); 2θ = 46.9°, intensity 17.8, (0 2 0); 2θ = 56.8°, intensity 14.0, (6 2 0); 2θ = 66.5°, intensity 15.5, (2 2 -4)



# 2
The following is a theoretical X-ray diffraction stick pattern of Pr2Dy2CBr3Cl2. It was derived from the GGA-PBE geometry in OQMD, using Cu Kα, 1.54184 Å.
Neutral-atom scattering factors, no anomalous dispersion.

Crystal structure
```
data_Pr2Dy2CBr3Cl2
_chemical_formula_sum 'Pr4 Dy4 C2 Br6 Cl4'
_space_group_name_H-M_alt 'C 1 2/m 1'
_space_group_IT_number 12
_cell_length_a 17.602
_cell_length_b 3.836
_cell_length_c 8.163
_cell_angle_alpha 90.00
_cell_angle_beta 104.05
_cell_angle_gamma 90.00
loop_
_space_group_symop_operation_xyz
'x,y,z'
'-x,-y,-z'
'-x,y,-z'
'x,-y,z'
'x+1/2,y+1/2,z'
'-x+1/2,-y+1/2,-z'
'-x+1/2,y+1/2,-z'
'x+1/2,-y+1/2,z'
loop_
_atom_site_label
_atom_site_type_symbol
_atom_site_fract_x
_atom_site_fract_y
_atom_site_fract_z
_atom_site_occupancy
Pr1 Pr 0.149 0.000 0.079 1
Dy1 Dy 0.001 0.500 0.799 1
C1 C 0.000 0.000 0.000 1
Br1 Br 0.000 0.000 0.500 1
Br2 Br 0.163 0.500 0.362 1
Cl1 Cl 0.164 0.500 0.823 1
```

Peak list (12 most intense, 2θ = 15–90°, low angle first)
2θ = 21.1°, intensity 14.1, (4 0 -1); 2θ = 28.8°, intensity 32.3, (3 1 -1); 2θ = 31.4°, intensity 53.1, (6 0 0); 2θ = 31.7°, intensity 37.9, (3 1 1); 2θ = 32.0°, intensity 100.0, (1 1 -2); 2θ = 35.4°, intensity 19.5, (4 0 -3); 2θ = 38.0°, intensity 22.0, (2 0 3); 2θ = 44.4°, intensity 12.2, (2 0 -4); 2θ = 45.3°, intensity 31.3, (7 1 -2); 2θ = 45.7°, intensity 32.6, (5 1 2); 2θ = 47.4°, intensity 19.1, (0 2 0); 2θ = 58.0°, intensity 17.9, (6 2 0)